Computed powder diffraction line list
Compound: NaTmBeO3
Radiation: CuKα
Structure: DFT lattice parameters and positions (GGA-PBE)
No peak broadening, texture or thermal motion is included.

Lattice parameters (Å, degrees): 6.7923 3.2568 7.3190 90.00 101.61 90.00
Space group P2_1/m (No. 11)
Asymmetric unit:
Na: 0.1637 0.2500 0.1769 (multiplicity 2)
Tm: 0.3479 0.7500 0.8294 (multiplicity 2)
Be: 0.0641 0.2500 0.6014 (multiplicity 2)
O: 0.1169 0.2500 0.8221 (multiplicity 2)
O: 0.1504 0.7500 0.5358 (multiplicity 2)
O: 0.4277 0.7500 0.1397 (multiplicity 2)

Principal peaks in the range 5 to 70 degrees two-theta, in order of rising 2θ:
2θ 12.35, 7.169 Å, I = 45.7, (0 0 1)
2θ 16.25, 5.455 Å, I = 100.0, (1 0 -1)
2θ 30.14, 2.965 Å, I = 29.9, (0 1 1)
2θ 30.58, 2.923 Å, I = 36.8, (1 0 2)
2θ 38.69, 2.327 Å, I = 30.3, (2 1 0)
2θ 38.97, 2.311 Å, I = 25.8, (2 1 -1)